Calculated powder diffraction line list
Compound: Sr4Cr6F19
Radiation: Cu Kα (λ = 1.5418 Å)
Structure: DFT lattice parameters and positions (GGA+U)
Neutral-atom scattering factors, no anomalous dispersion.

Peak list (10 most intense, 15 to 90 degrees two-theta, low angle first)
- 2θ = 21.89°, d 4.060, intensity 75
- 2θ = 23.25°, d 3.826, intensity 90
- 2θ = 23.53°, d 3.781, intensity 92
- 2θ = 29.28°, d 3.051, intensity 100
- 2θ = 29.56°, d 3.022, intensity 49
- 2θ = 29.93°, d 2.985, intensity 59
- 2θ = 30.52°, d 2.929, intensity 53
- 2θ = 30.58°, d 2.923, intensity 55
- 2θ = 33.76°, d 2.655, intensity 46
- 2θ = 39.64°, d 2.273, intensity 61

Cell and atoms:
```
data_Sr4Cr6F19
_symmetry_space_group_name_H-M 'P 1'
_symmetry_Int_Tables_number 1
_symmetry_space_group_name_Hall 'P 1'
_cell_length_a 7.9741
_cell_length_b 8.0725
_cell_length_c 8.1474
_cell_angle_alpha 108.54
_cell_angle_beta 107.01
_cell_angle_gamma 108.17
loop_
_atom_site_label
_atom_site_fract_x
_atom_site_fract_y
_atom_site_fract_z
Sr1 0.0000 0.0000 0.0000
Sr2 0.0010 0.2954 0.6551
Sr3 0.3250 0.9757 0.6899
Sr4 0.7009 0.6910 0.3855
Cr1 0.1996 0.5226 0.3693
Cr2 0.3148 0.8126 0.1642
Cr3 0.4903 0.3024 0.5165
Cr4 0.5252 0.6543 0.8732
Cr5 0.6669 0.1601 0.1936
Cr6 0.8575 0.4836 0.0030
F1 0.0029 0.2618 0.3144
F2 0.0031 0.6013 0.8763
F3 0.0332 0.6682 0.3978
F4 0.2245 0.0052 0.3014
F5 0.2679 0.6192 0.6926
F6 0.3163 0.0284 0.9947
F7 0.3177 0.2856 0.6660
F8 0.3742 0.3947 0.3248
F9 0.4160 0.6108 0.0589
F10 0.4319 0.7789 0.4652
F11 0.6347 0.2209 0.6953
F12 0.6457 0.9816 0.9445
F13 0.6643 0.3663 0.0966
F14 0.6683 0.6671 0.7030
F15 0.7199 0.0035 0.3485
F16 0.7222 0.3691 0.4475
F17 0.7870 0.7117 0.0727
F18 0.9903 0.9809 0.6737
F19 0.9951 0.3062 0.9787
```